For NdDy3Pd2, a structure optimized by DFT (GGA-PBE) gives the computed powder X-ray diffraction pattern in this record (Cu Ka).
Intensities are scaled so that the largest is 1000.

The 6 most intense peaks (10 to 80 degrees two-theta), low angle first:
d_spacing  2θ (°)  Rel. int.
2.986  29.92  1000
2.898  30.85  385
2.753  32.52  816
2.524  35.57  584
2.462  36.50  603
1.360  69.05  224

a = 4.924 Å, b = 8.818 Å, c = 7.171 Å
α = 90.00°, β = 90.00°, γ = 90.00°
Space group Pmc2_1 (No. 26)
Symmetry-distinct sites (fractional):
1 Nd 0.000 0.080 0.000 (multiplicity 2)
2 Dy 0.000 0.334 0.629 (multiplicity 2)
3 Dy 0.500 0.171 0.341 (multiplicity 2)
4 Dy 0.500 0.424 0.969 (multiplicity 2)
5 Pd 0.000 0.348 0.231 (multiplicity 2)
6 Pd 0.500 0.163 0.739 (multiplicity 2)

For Nd2Dy2Pd15, a structure optimized by DFT (GGA-PBE) gives the computed powder X-ray diffraction pattern in this record (Cu Ka).
Intensities are scaled so that the largest is 1000.

The 6 most intense peaks (10 to 80 degrees two-theta), low angle first:
d_spacing  2θ (°)  Rel. int.
2.673  33.53  554
2.655  33.76  502
2.362  38.09  380
2.326  38.71  1000
2.315  38.91  953
2.079  43.54  894

a = 9.2587 Å, b = 9.2587 Å, c = 14.1742 Å
α = 90.00°, β = 90.00°, γ = 120.00°
Space group R-3m (No. 166, hexagonal axes)
Symmetry-distinct sites (fractional):
1 Nd 0.0000 0.0000 0.1394 (multiplicity 6)
2 Dy 0.0000 0.0000 0.3917 (multiplicity 6)
3 Pd 0.0000 0.3059 0.5000 (multiplicity 18)
4 Pd 0.0000 0.5000 0.0000 (multiplicity 9)
5 Pd 0.0058 0.5029 0.6532 (multiplicity 18)